# 1
Theoretical X-ray powder pattern of BaTb2WO8 for Cu Kα (weighted mean of Kα1 and Kα2), from a crystal structure in Alexandria, relaxed with PBE+U.
Kinematic intensities with the Lorentz-polarization factor, no thermal factor.

Atomic structure:
```
data_BaTb2WO8
_chemical_formula_sum 'Ba1 Tb2 W1 O8'
_cell_length_a 5.375
_cell_length_b 5.555
_cell_length_c 7.064
_cell_angle_alpha 82.85
_cell_angle_beta 72.44
_cell_angle_gamma 74.59
_space_group_name_H-M_alt 'P 1'
_space_group_IT_number 1
loop_
_space_group_symop_operation_xyz
'x,y,z'
loop_
_atom_site_label
_atom_site_type_symbol
_atom_site_fract_x
_atom_site_fract_y
_atom_site_fract_z
Ba1 Ba 0.000 0.000 0.000
Tb1 Tb 0.338 0.435 0.327
Tb2 Tb 0.662 0.565 0.673
W1 W 0.000 0.000 0.500
O1 O 0.067 0.262 0.627
O2 O 0.245 0.092 0.255
O3 O 0.299 0.740 0.560
O4 O 0.361 0.551 0.988
O5 O 0.639 0.449 0.012
O6 O 0.701 0.260 0.440
O7 O 0.755 0.908 0.745
O8 O 0.933 0.738 0.373
```

Main lines, by intensity (15° ≤ 2θ ≤ 90°):
(1 -1 0), 2θ 27.27, rel. 100; (1 0 2), 2θ 27.53, rel. 91; (1 1 0), 2θ 21.26, rel. 81; (0 1 2), 2θ 30.71, rel. 55; (1 1 -2), 2θ 38.69, rel. 48; (1 0 1), 2θ 18.98, rel. 46; (1 2 1), 2θ 34.01, rel. 44; (0 2 0), 2θ 33.51, rel. 43; (1 2 2), 2θ 39.07, rel. 41; (1 1 1), 2θ 21.74, rel. 38

# 2
Theoretical X-ray powder pattern of Ba3Tb2WO9 for Cu Kα (weighted mean of Kα1 and Kα2), from a crystal structure in Alexandria, relaxed with PBE+U.
Kinematic intensities with the Lorentz-polarization factor, no thermal factor.

Atomic structure:
```
data_Ba3Tb2WO9
_chemical_formula_sum 'Ba6 Tb4 W2 O18'
_cell_length_a 6.111
_cell_length_b 8.654
_cell_length_c 10.581
_cell_angle_alpha 114.00
_cell_angle_beta 106.77
_cell_angle_gamma 90.23
_space_group_name_H-M_alt 'P 1'
_space_group_IT_number 1
loop_
_space_group_symop_operation_xyz
'x,y,z'
loop_
_atom_site_label
_atom_site_type_symbol
_atom_site_fract_x
_atom_site_fract_y
_atom_site_fract_z
Ba1 Ba 0.006 0.254 0.498
Ba2 Ba 0.333 0.577 0.172
Ba3 Ba 0.334 0.092 0.174
Ba4 Ba 0.666 0.908 0.826
Ba5 Ba 0.667 0.423 0.828
Ba6 Ba 0.994 0.746 0.502
Tb1 Tb 0.171 0.668 0.838
Tb2 Tb 0.500 0.000 0.500
Tb3 Tb 0.500 0.500 0.500
Tb4 Tb 0.829 0.332 0.162
W1 W 0.168 0.167 0.832
W2 W 0.832 0.833 0.168
O1 O 0.044 0.246 0.996
O2 O 0.134 0.460 0.346
O3 O 0.134 0.933 0.820
O4 O 0.146 0.874 0.307
O5 O 0.206 0.406 0.857
O6 O 0.288 0.084 0.664
O7 O 0.394 0.603 0.705
O8 O 0.438 0.232 0.472
O9 O 0.485 0.206 0.960
O10 O 0.515 0.794 0.040
O11 O 0.562 0.768 0.528
O12 O 0.606 0.397 0.295
O13 O 0.712 0.916 0.336
O14 O 0.794 0.594 0.143
O15 O 0.854 0.126 0.693
O16 O 0.866 0.067 0.180
O17 O 0.866 0.540 0.654
O18 O 0.956 0.754 0.004
```

Main lines, by intensity (15° ≤ 2θ ≤ 90°):
(1 -2 2), 2θ 29.20, rel. 100; (1 2 0), 2θ 29.25, rel. 50; (2 0 -4), 2θ 41.79, rel. 41; (3 2 -1), 2θ 51.86, rel. 36; (3 -2 1), 2θ 51.73, rel. 27; (1 6 -2), 2θ 68.67, rel. 14; (4 0 -2), 2θ 60.59, rel. 12; (2 4 3), 2θ 83.79, rel. 11; (2 4 -6), 2θ 60.66, rel. 8; (3 2 2), 2θ 68.76, rel. 7